[1]
The following is a theoretical powder diffraction line list of LiTiO2. It was derived from DFT lattice parameters and positions (GGA-PBE), using Cu Kα, 1.54184 Å.

Principal peaks in the range 2θ from 10° to 90°, low angle first:
18.32 deg, rel. 99, (1 1 1)
35.49 deg, rel. 44, (3 1 1)
37.12 deg, rel. 12, (2 2 2)
43.13 deg, rel. 100, (4 0 0)
47.23 deg, rel. 15, (3 3 1)
57.04 deg, rel. 15, (5 1 1)
62.64 deg, rel. 54, (4 4 0)
65.86 deg, rel. 14, (5 3 1)
75.11 deg, rel. 7, (6 2 2)
79.09 deg, rel. 16, (4 4 4)
82.03 deg, rel. 7, (5 5 1)
89.80 deg, rel. 7, (5 5 3)

a = 8.3893 Å, b = 8.3893 Å, c = 8.3893 Å
α = 90.00°, β = 90.00°, γ = 90.00°
Space group Fd-3m (No. 227, origin choice 2)
Unique sites:
Li 0.0000 0.0000 0.0000 [16 per cell]
Ti 0.0000 0.0000 0.5000 [16 per cell]
O 0.0044 0.0044 0.7456 [32 per cell]

---

[2]
The following is a theoretical powder diffraction line list of La2Ti2ZnO8. It was derived from DFT lattice parameters and positions (GGA-PBE), using Cu Kα, 1.54184 Å.

Principal peaks in the range 2θ from 10° to 90°, low angle first:
27.73 deg, rel. 100, (1 0 2)
31.92 deg, rel. 39, (1 0 3)
34.05 deg, rel. 24, (1 1 0)
34.79 deg, rel. 34, (1 1 1)
35.09 deg, rel. 22, (0 0 5)
42.90 deg, rel. 12, (1 0 5)
44.59 deg, rel. 33, (1 1 4)
48.93 deg, rel. 30, (2 0 0)
49.70 deg, rel. 14, (1 1 5)
57.17 deg, rel. 26, (2 1 2)
59.61 deg, rel. 14, (2 1 3)
61.62 deg, rel. 16, (2 0 5)

```
data_La2Ti2ZnO8
_chemical_formula_sum 'La2 Ti2 Zn1 O8'
_space_group_name_H-M_alt 'P -4 m 2'
_space_group_IT_number 115
_space_group_name_Hall 'P -4 -2'
_cell_length_a 3.7233
_cell_length_b 3.7233
_cell_length_c 12.7863
_cell_angle_alpha 90.00
_cell_angle_beta 90.00
_cell_angle_gamma 90.00
loop_
_atom_site_label
_atom_site_fract_x
_atom_site_fract_y
_atom_site_fract_z
La1 0.0000 0.5000 0.1138
Ti1 0.0000 0.5000 0.7097
Zn1 0.0000 0.0000 0.5000
O1 0.0000 0.0000 0.2500
O2 0.0000 0.5000 0.5681
O3 0.0000 0.5000 0.9272
O4 0.5000 0.5000 0.2465
```

---

[3]
The following is a theoretical powder diffraction line list of Ba2Ti5Bi4O18. It was derived from DFT lattice parameters and positions (GGA-PBE), using Cu Kα, 1.54184 Å.

Principal peaks in the range 2θ from 10° to 90°, low angle first:
17.58 deg, rel. 17, (0 10 0)
22.26 deg, rel. 20, (1 1 -1)
22.93 deg, rel. 19, (1 1 1)
29.60 deg, rel. 95, (1 11 -1)
30.12 deg, rel. 100, (1 11 1)
32.07 deg, rel. 82, (0 0 2)
38.72 deg, rel. 39, (0 12 2)
45.26 deg, rel. 19, (2 0 -2)
46.70 deg, rel. 26, (2 0 2)
51.58 deg, rel. 33, (0 22 2)
55.33 deg, rel. 24, (1 11 -3)
56.27 deg, rel. 30, (1 11 3)

```
data_Ba2Ti5Bi4O18
_chemical_formula_sum 'Ba8 Ti20 Bi16 O72'
_space_group_name_H-M_alt 'C 1 c 1'
_space_group_IT_number 9
_space_group_name_Hall 'C -2yc'
_cell_length_a 5.5874
_cell_length_b 50.4594
_cell_length_c 5.5812
_cell_angle_alpha 90.00
_cell_angle_beta 91.70
_cell_angle_gamma 90.00
loop_
_atom_site_label
_atom_site_fract_x
_atom_site_fract_y
_atom_site_fract_z
Ba1 0.0000 0.1245 0.0000
Ba2 0.0155 0.2910 0.9918
Ti1 0.0002 0.3342 0.4880
Ti2 0.0071 0.4216 0.5056
Ti3 0.0128 0.2505 0.4941
Ti4 0.0171 0.1665 0.5071
Ti5 0.4849 0.4217 0.0009
Bi1 0.0334 0.4754 0.0068
Bi2 0.0335 0.0248 0.9604
Bi3 0.4586 0.1154 0.5250
Bi4 0.4685 0.2945 0.5474
O1 0.0018 0.3710 0.4573
O2 0.0142 0.2098 0.4461
O3 0.0589 0.1292 0.4926
O4 0.0680 0.2898 0.4855
O5 0.2424 0.4131 0.2240
O6 0.2579 0.0868 0.7394
O7 0.2668 0.4989 0.7454
O8 0.2693 0.0005 0.2383
O9 0.2702 0.1702 0.2131
O10 0.2721 0.4157 0.7315
O11 0.2815 0.0852 0.2590
O12 0.2817 0.1714 0.7231
O13 0.2865 0.2491 0.2169
O14 0.2875 0.3305 0.7162
O15 0.2881 0.3315 0.2323
O16 0.2927 0.2496 0.7142
O17 0.4846 0.4567 0.0359
O18 0.4960 0.0437 0.9699
```

---

[4]
The following is a theoretical powder diffraction line list of SrSiO3. It was derived from DFT lattice parameters and positions (GGA-PBE), using Cu Kα, 1.54184 Å.

Principal peaks in the range 2θ from 10° to 90°, low angle first:
17.36 deg, rel. 26, (0 0 2)
24.65 deg, rel. 74, (0 2 0)
26.12 deg, rel. 23, (0 2 1)
30.23 deg, rel. 100, (3 1 1)
30.46 deg, rel. 50, (3 1 -3)
35.13 deg, rel. 23, (0 0 4)
43.21 deg, rel. 24, (3 1 3)
43.35 deg, rel. 61, (3 3 -1)
43.49 deg, rel. 19, (6 0 -2)
43.59 deg, rel. 23, (3 1 -5)
46.95 deg, rel. 21, (6 0 0)
53.74 deg, rel. 18, (0 4 2)

```
data_SrSiO3
_chemical_formula_sum 'Sr12 Si12 O36'
_space_group_name_H-M_alt 'C 1 2/c 1'
_space_group_IT_number 15
_space_group_name_Hall '-C 2yc'
_cell_length_a 12.4873
_cell_length_b 7.2376
_cell_length_c 10.9955
_cell_angle_alpha 90.00
_cell_angle_beta 111.66
_cell_angle_gamma 90.00
loop_
_atom_site_label
_atom_site_fract_x
_atom_site_fract_y
_atom_site_fract_z
Sr1 0.0873 0.2391 0.4991
Sr2 0.2500 0.2500 0.0000
Si1 0.0000 0.1691 0.7500
Si2 0.1237 0.4580 0.2463
O1 0.0000 0.3683 0.2500
O2 0.0472 0.0661 0.8893
O3 0.1068 0.3106 0.7483
O4 0.1271 0.4080 0.1051
O5 0.2221 0.4060 0.3849
```

---

[5]
The following is a theoretical powder diffraction line list of UBi4O8. It was derived from DFT lattice parameters and positions (GGA-PBE), using Cu Kα, 1.54184 Å.

Principal peaks in the range 2θ from 10° to 90°, low angle first:
27.51 deg, rel. 100, (0 1 5)
28.04 deg, rel. 97, (1 0 5)
31.58 deg, rel. 27, (0 0 10)
32.48 deg, rel. 51, (1 1 0)
45.93 deg, rel. 78, (0 2 0)
47.27 deg, rel. 15, (2 0 0)
53.79 deg, rel. 15, (0 1 15)
54.10 deg, rel. 14, (1 0 15)
54.65 deg, rel. 32, (1 2 5)
55.57 deg, rel. 30, (2 1 5)
74.38 deg, rel. 12, (2 1 15)
85.01 deg, rel. 15, (1 3 10)

```
data_UBi4O8
_chemical_formula_sum 'U2 Bi8 O16'
_space_group_name_H-M_alt 'I m m m'
_space_group_IT_number 71
_space_group_name_Hall '-I 2 2'
_cell_length_a 3.8456
_cell_length_b 3.9544
_cell_length_c 28.3285
_cell_angle_alpha 90.00
_cell_angle_beta 90.00
_cell_angle_gamma 90.00
loop_
_atom_site_label
_atom_site_fract_x
_atom_site_fract_y
_atom_site_fract_z
U1 0.0000 0.0000 0.0000
Bi1 0.0000 0.0000 0.2042
Bi2 0.0000 0.0000 0.4046
O1 0.0000 0.5000 0.0484
O2 0.0000 0.5000 0.2440
O3 0.0000 0.5000 0.3521
O4 0.0000 0.5000 0.4553
```

---

[6]
The following is a theoretical powder diffraction line list of Rb2LiCeBr6. It was derived from DFT lattice parameters and positions (GGA-PBE), using Cu Kα, 1.54184 Å.

Principal peaks in the range 2θ from 10° to 90°, low angle first:
13.59 deg, rel. 20, (1 1 1)
15.70 deg, rel. 16, (2 0 0)
22.27 deg, rel. 18, (2 2 0)
26.18 deg, rel. 20, (3 1 1)
27.37 deg, rel. 82, (2 2 2)
31.70 deg, rel. 100, (4 0 0)
45.45 deg, rel. 72, (4 4 0)
53.87 deg, rel. 35, (6 2 2)
56.47 deg, rel. 25, (4 4 4)
73.07 deg, rel. 14, (6 6 2)
75.30 deg, rel. 31, (8 4 0)
84.00 deg, rel. 24, (8 4 4)

```
data_Rb2LiCeBr6
_chemical_formula_sum 'Rb8 Li4 Ce4 Br24'
_space_group_name_H-M_alt 'F m -3 m'
_space_group_IT_number 225
_space_group_name_Hall '-F 4 2 3'
_cell_length_a 11.2889
_cell_length_b 11.2889
_cell_length_c 11.2889
_cell_angle_alpha 90.00
_cell_angle_beta 90.00
_cell_angle_gamma 90.00
loop_
_atom_site_label
_atom_site_fract_x
_atom_site_fract_y
_atom_site_fract_z
Rb1 0.2500 0.2500 0.2500
Li1 0.0000 0.0000 0.0000
Ce1 0.0000 0.0000 0.5000
Br1 0.0000 0.0000 0.2437
```